Record 1
Diffraction record for KErZn2F8. The X-ray powder pattern is simulated, not measured: it uses a structure optimized by DFT (PBE) and Cu Kα (weighted mean of Kα1 and Kα2).

Main lines, low angle first (10 to 80 degrees two-theta):
| 2θ (°) | I_rel |
| --- | --- |
| 10.63 | 30.8 |
| 19.83 | 34.0 |
| 24.20 | 100.0 |
| 26.49 | 20.4 |
| 34.12 | 43.9 |
| 34.85 | 33.8 |
| 42.27 | 21.1 |
| 49.57 | 13.7 |
| 55.40 | 19.9 |
| 56.39 | 26.7 |
| 61.08 | 15.0 |
| 61.55 | 13.5 |

Unit cell a=8.8616 b=8.8616 c=8.8616 alpha=34.50 beta=34.50 gamma=34.50
Atoms (fractional coordinates):
K  0.0000  0.0000  0.0000
Er  0.5000  0.5000  0.5000
Zn  0.2557  0.2557  0.2557
Zn  0.7443  0.7443  0.7443
F  0.1209  0.4520  0.7618
F  0.2382  0.5480  0.8791
F  0.3301  0.3301  0.3301
F  0.4520  0.7618  0.1209
F  0.5480  0.8791  0.2382
F  0.6699  0.6699  0.6699
F  0.7618  0.1209  0.4520
F  0.8791  0.2382  0.5480

***

Record 2
Diffraction record for K2ErZnF6. The X-ray powder pattern is simulated, not measured: it uses a structure optimized by DFT (PBE) and Cu Kα (weighted mean of Kα1 and Kα2).

Main lines, low angle first (10 to 80 degrees two-theta):
| 2θ (°) | I_rel |
| --- | --- |
| 17.07 | 34.4 |
| 19.74 | 68.2 |
| 27.94 | 19.6 |
| 28.08 | 100.0 |
| 32.99 | 11.0 |
| 40.04 | 35.8 |
| 40.22 | 18.1 |
| 45.07 | 16.7 |
| 49.52 | 16.2 |
| 49.72 | 32.1 |
| 58.06 | 27.1 |
| 79.87 | 12.0 |

Unit cell a=6.3526 b=8.9689 c=6.3863 alpha=90.00 beta=90.00 gamma=90.00
Atoms (fractional coordinates):
K  0.2500  0.0019  0.2297
K  0.2500  0.4981  0.2297
K  0.7500  0.5019  0.7703
K  0.7500  0.9981  0.7703
Er  0.2500  0.7500  0.7499
Er  0.7500  0.2500  0.2501
Zn  0.2500  0.2500  0.7460
Zn  0.7500  0.7500  0.2540
F  0.0051  0.7500  0.9856
F  0.0136  0.7500  0.5089
F  0.2500  0.5102  0.7758
F  0.2500  0.9898  0.7758
F  0.4864  0.7500  0.5089
F  0.4949  0.7500  0.9856
F  0.5051  0.2500  0.0144
F  0.5136  0.2500  0.4911
F  0.7500  0.0102  0.2242
F  0.7500  0.4898  0.2242
F  0.9864  0.2500  0.4911
F  0.9949  0.2500  0.0144

***

Record 3
Diffraction record for LiErF4. The X-ray powder pattern is simulated, not measured: it uses a structure optimized by DFT (PBE) and Cu Kα (weighted mean of Kα1 and Kα2).

Main lines, low angle first (10 to 80 degrees two-theta):
| 2θ (°) | I_rel |
| --- | --- |
| 18.52 | 100.0 |
| 25.64 | 56.2 |
| 31.81 | 28.5 |
| 32.63 | 37.4 |
| 36.58 | 9.0 |
| 41.30 | 25.0 |
| 43.03 | 19.6 |
| 49.25 | 19.8 |
| 49.82 | 38.3 |
| 52.69 | 9.7 |
| 63.37 | 12.9 |
| 69.06 | 10.1 |

Unit cell a=5.9232 b=5.9232 c=5.9232 alpha=108.17 beta=108.17 gamma=112.10
Atoms (fractional coordinates):
Li  0.3750  0.6250  0.7500
Li  0.6250  0.3750  0.2500
Er  0.1250  0.8750  0.2500
Er  0.8750  0.1250  0.7500
F  0.1740  0.2387  0.5648
F  0.1740  0.6092  0.9352
F  0.2387  0.1740  0.0648
F  0.3908  0.8260  0.5648
F  0.6092  0.1740  0.4352
F  0.7613  0.8260  0.9352
F  0.8260  0.3908  0.0648
F  0.8260  0.7613  0.4352

***

Record 4
Diffraction record for Na2LiErF6. The X-ray powder pattern is simulated, not measured: it uses a structure optimized by DFT (PBE) and Cu Kα (weighted mean of Kα1 and Kα2).

Main lines, low angle first (10 to 80 degrees two-theta):
| 2θ (°) | I_rel |
| --- | --- |
| 18.69 | 38.4 |
| 18.79 | 100.0 |
| 19.70 | 47.2 |
| 21.20 | 25.4 |
| 22.34 | 52.0 |
| 30.34 | 42.6 |
| 31.63 | 35.1 |
| 36.69 | 29.0 |
| 36.84 | 22.1 |
| 37.08 | 34.5 |
| 45.59 | 24.2 |
| 49.96 | 20.3 |

Unit cell a=5.5513 b=5.7174 c=9.7970 alpha=90.00 beta=121.19 gamma=90.00
Atoms (fractional coordinates):
Na  0.2059  0.0566  0.2410
Na  0.2059  0.4434  0.7410
Na  0.7941  0.5566  0.2590
Na  0.7941  0.9434  0.7590
Li  0.0000  0.0000  0.5000
Li  0.0000  0.5000  0.0000
Er  0.5000  0.0000  0.0000
Er  0.5000  0.5000  0.5000
F  0.1345  0.2114  0.9389
F  0.1345  0.2886  0.4389
F  0.2156  0.7045  0.9240
F  0.2156  0.7955  0.4240
F  0.3943  0.0608  0.7570
F  0.3943  0.4392  0.2570
F  0.6057  0.5608  0.7430
F  0.6057  0.9392  0.2430
F  0.7844  0.2045  0.5760
F  0.7844  0.2955  0.0760
F  0.8655  0.7114  0.5611
F  0.8655  0.7886  0.0611

***

Record 5
Diffraction record for Na3ErF8. The X-ray powder pattern is simulated, not measured: it uses a structure optimized by DFT (PBE) and Cu Kα (weighted mean of Kα1 and Kα2).

Main lines, low angle first (10 to 80 degrees two-theta):
| 2θ (°) | I_rel |
| --- | --- |
| 16.12 | 100.0 |
| 22.88 | 74.6 |
| 28.11 | 86.2 |
| 36.55 | 36.8 |
| 40.18 | 34.0 |
| 46.73 | 80.9 |
| 49.76 | 24.7 |
| 52.65 | 15.4 |
| 55.43 | 37.6 |
| 60.74 | 15.7 |
| 63.29 | 19.4 |
| 75.36 | 14.6 |

Unit cell a=5.4976 b=5.4976 c=5.4976 alpha=90.00 beta=90.00 gamma=90.00
Atoms (fractional coordinates):
Na  0.0000  0.0000  0.5000
Na  0.0000  0.5000  0.0000
Na  0.5000  0.0000  0.0000
Er  0.5000  0.5000  0.5000
F  0.2632  0.2632  0.2632
F  0.2632  0.2632  0.7368
F  0.2632  0.7368  0.2632
F  0.2632  0.7368  0.7368
F  0.7368  0.2632  0.2632
F  0.7368  0.2632  0.7368
F  0.7368  0.7368  0.2632
F  0.7368  0.7368  0.7368